(1)
Tb3Ga8Rh3: simulated powder XRD pattern (λ = 1.5418 Å (Cu Kα)), based on a structure optimized by DFT (GGA-PBE).

a b c (Å): 8.190 8.190 8.190
angles (deg): 150.02 105.68 82.16
Fractional coordinates of all 14 atoms:
Tb  0.000  0.000  0.000
Tb  0.327  0.327  0.000
Tb  0.673  0.673  0.000
Ga  0.037  0.667  0.370
Ga  0.160  0.877  0.284
Ga  0.297  0.667  0.630
Ga  0.407  0.123  0.284
Ga  0.593  0.877  0.716
Ga  0.703  0.333  0.370
Ga  0.840  0.123  0.716
Ga  0.963  0.333  0.630
Rh  0.282  0.500  0.782
Rh  0.500  0.000  0.500
Rh  0.718  0.500  0.218

Principal peaks in the range 10° ≤ 2θ ≤ 80°, low angle first:
30.28 deg, I 181; 34.46 deg, I 257; 34.86 deg, I 209; 35.41 deg, I 1000; 37.50 deg, I 125; 42.68 deg, I 321; 44.00 deg, I 173; 45.59 deg, I 122; 62.97 deg, I 117; 73.43 deg, I 117

=====

(2)
ThGaRh: simulated powder XRD pattern (λ = 1.5418 Å (Cu Kα)), based on a structure optimized by DFT (GGA-PBE).

a b c (Å): 7.338 7.338 4.019
angles (deg): 90.00 90.00 120.00
Fractional coordinates of all 9 atoms:
Th  0.000  0.410  0.000
Th  0.410  0.000  0.000
Th  0.590  0.590  0.000
Ga  0.000  0.757  0.500
Ga  0.243  0.243  0.500
Ga  0.757  0.000  0.500
Rh  0.000  0.000  0.000
Rh  0.333  0.667  0.500
Rh  0.667  0.333  0.500

Principal peaks in the range 10° ≤ 2θ ≤ 80°, low angle first:
24.26 deg, I 220; 28.08 deg, I 196; 33.06 deg, I 1000; 36.03 deg, I 874; 37.44 deg, I 372; 42.68 deg, I 239; 45.12 deg, I 233; 51.88 deg, I 262; 57.06 deg, I 298; 68.46 deg, I 229

=====

(3)
TiGaRh: simulated powder XRD pattern (λ = 1.5418 Å (Cu Kα)), based on a structure optimized by DFT (GGA-PBE).

a b c (Å): 4.179 4.179 4.179
angles (deg): 60.00 60.00 60.00
Fractional coordinates of all 3 atoms:
Ti  0.000  0.000  0.000
Ga  0.750  0.750  0.750
Rh  0.500  0.500  0.500

Principal peaks in the range 10° ≤ 2θ ≤ 80°, low angle first:
26.11 deg, I 451; 30.24 deg, I 172; 43.30 deg, I 1000; 51.27 deg, I 214; 53.72 deg, I 41; 62.90 deg, I 157; 69.30 deg, I 86; 71.37 deg, I 50; 79.43 deg, I 313

=====

(4)
TmGaRh2: simulated powder XRD pattern (λ = 1.5418 Å (Cu Kα)), based on a structure optimized by DFT (GGA-PBE).

a b c (Å): 4.534 4.534 4.534
angles (deg): 60.00 60.00 60.00
Fractional coordinates of all 4 atoms:
Tm  0.000  0.000  0.000
Ga  0.500  0.500  0.500
Rh  0.250  0.250  0.250
Rh  0.750  0.750  0.750

Principal peaks in the range 10° ≤ 2θ ≤ 80°, low angle first:
24.04 deg, I 106; 39.76 deg, I 1000; 47.00 deg, I 55; 57.49 deg, I 168; 63.20 deg, I 24; 72.17 deg, I 337; 77.32 deg, I 18

=====

(5)
Tm3Ga8Rh3: simulated powder XRD pattern (λ = 1.5418 Å (Cu Kα)), based on a structure optimized by DFT (GGA-PBE).

a b c (Å): 8.127 8.127 8.127
angles (deg): 150.17 104.86 82.88
Fractional coordinates of all 14 atoms:
Tm  0.000  0.000  0.000
Tm  0.329  0.329  0.000
Tm  0.671  0.671  0.000
Ga  0.037  0.664  0.373
Ga  0.160  0.874  0.286
Ga  0.292  0.664  0.627
Ga  0.412  0.126  0.286
Ga  0.588  0.874  0.714
Ga  0.708  0.336  0.373
Ga  0.840  0.126  0.714
Ga  0.963  0.336  0.627
Rh  0.287  0.500  0.787
Rh  0.500  0.000  0.500
Rh  0.713  0.500  0.213

Principal peaks in the range 10° ≤ 2θ ≤ 80°, low angle first:
30.68 deg, I 180; 34.60 deg, I 282; 35.01 deg, I 210; 35.75 deg, I 1000; 37.70 deg, I 142; 43.26 deg, I 304; 44.62 deg, I 174; 45.97 deg, I 139; 63.90 deg, I 134; 74.44 deg, I 116

=====

(6)
UGa5Rh: simulated powder XRD pattern (λ = 1.5418 Å (Cu Kα)), based on a structure optimized by DFT (GGA-PBE).

a b c (Å): 4.331 4.331 6.785
angles (deg): 90.00 90.00 90.00
Fractional coordinates of all 7 atoms:
U  0.000  0.000  0.000
Ga  0.000  0.500  0.298
Ga  0.000  0.500  0.702
Ga  0.500  0.000  0.298
Ga  0.500  0.000  0.702
Ga  0.500  0.500  0.000
Rh  0.000  0.000  0.500

Principal peaks in the range 10° ≤ 2θ ≤ 80°, low angle first:
20.51 deg, I 424; 32.07 deg, I 336; 33.55 deg, I 252; 39.65 deg, I 1000; 41.71 deg, I 505; 54.56 deg, I 130; 59.06 deg, I 135; 60.46 deg, I 167; 70.52 deg, I 114; 74.75 deg, I 308

=====

(7)
Y2Ga9Rh3: simulated powder XRD pattern (λ = 1.5418 Å (Cu Kα)), based on a structure optimized by DFT (GGA-PBE).

a b c (Å): 7.581 7.581 9.542
angles (deg): 90.00 90.00 60.15
Fractional coordinates of all 28 atoms:
Y  0.000  0.333  0.250
Y  0.000  0.667  0.750
Y  0.333  0.000  0.750
Y  0.667  0.000  0.250
Ga  0.001  0.665  0.079
Ga  0.001  0.665  0.421
Ga  0.119  0.881  0.250
Ga  0.331  0.669  0.563
Ga  0.331  0.669  0.937
Ga  0.335  0.999  0.079
Ga  0.335  0.999  0.421
Ga  0.341  0.454  0.250
Ga  0.454  0.341  0.750
Ga  0.546  0.659  0.250
Ga  0.659  0.546  0.750
Ga  0.665  0.001  0.579
Ga  0.665  0.001  0.921
Ga  0.669  0.331  0.063
Ga  0.669  0.331  0.437
Ga  0.881  0.119  0.750
Ga  0.999  0.335  0.579
Ga  0.999  0.335  0.921
Rh  0.000  0.000  0.000
Rh  0.000  0.000  0.500
Rh  0.329  0.329  0.000
Rh  0.329  0.329  0.500
Rh  0.671  0.671  0.000
Rh  0.671  0.671  0.500

Principal peaks in the range 10° ≤ 2θ ≤ 80°, low angle first:
30.10 deg, I 161; 36.88 deg, I 1000; 37.41 deg, I 163; 37.71 deg, I 178; 40.98 deg, I 198; 41.22 deg, I 973; 44.89 deg, I 286; 45.58 deg, I 314; 63.42 deg, I 157; 72.24 deg, I 226

=====

(8)
Y3Ga8Rh3: simulated powder XRD pattern (λ = 1.5418 Å (Cu Kα)), based on a structure optimized by DFT (GGA-PBE).

a b c (Å): 8.179 8.179 8.179
angles (deg): 150.07 105.90 81.92
Fractional coordinates of all 14 atoms:
Y  0.000  0.000  0.000
Y  0.327  0.327  0.000
Y  0.673  0.673  0.000
Ga  0.037  0.667  0.370
Ga  0.161  0.877  0.284
Ga  0.297  0.667  0.630
Ga  0.407  0.123  0.284
Ga  0.593  0.877  0.716
Ga  0.703  0.333  0.370
Ga  0.839  0.123  0.716
Ga  0.963  0.333  0.630
Rh  0.280  0.500  0.780
Rh  0.500  0.000  0.500
Rh  0.720  0.500  0.220

Principal peaks in the range 10° ≤ 2θ ≤ 80°, low angle first:
34.59 deg, I 205; 34.94 deg, I 144; 35.48 deg, I 1000; 37.62 deg, I 187; 42.39 deg, I 145; 42.83 deg, I 375; 43.98 deg, I 183; 45.69 deg, I 206; 46.40 deg, I 198; 63.07 deg, I 147